Record 1
Diffraction record for ScZnPd. The powder diffraction line list is simulated, not measured: it uses a GGA-PBE-relaxed structure and Cu Kα.
Kinematic intensities with the Lorentz-polarization factor, no thermal factor.

Cell and atoms:
```
data_ScZnPd
_space_group_name_H-M_alt 'C m c m'
_space_group_IT_number 63
_space_group_name_Hall '-C 2c 2'
_cell_length_a 4.3246
_cell_length_b 9.1606
_cell_length_c 5.3187
_cell_angle_alpha 90.00
_cell_angle_beta 90.00
_cell_angle_gamma 90.00
loop_
_atom_site_label
_atom_site_type_symbol
_atom_site_fract_x
_atom_site_fract_y
_atom_site_fract_z
Sc1 Sc 0.0000 0.2061 0.2500
Zn1 Zn 0.0000 0.5000 0.0000
Pd1 Pd 0.0000 0.0977 0.7500
```

Most intense lines, 5° ≤ 2θ ≤ 70°, sorted by position:
hkl  two_theta  I_rel
0 2 0  19.38  28
0 2 1  25.67  37
1 3 0  36.01  43
1 3 1  39.92  66
1 1 2  41.04  100
2 0 0  41.77  40
0 4 1  43.00  17
2 2 1  49.68  12
0 4 2  52.75  15
1 5 0  54.39  14
1 3 3  64.48  15
2 4 2  69.45  12

=====

Record 2
Diffraction record for LiAs4P4O16. The powder diffraction line list is simulated, not measured: it uses a GGA-PBE-relaxed structure and Cu Kα.
Kinematic intensities with the Lorentz-polarization factor, no thermal factor.

Cell and atoms:
```
data_LiAs4P4O16
_space_group_name_H-M_alt 'P 1 m 1'
_space_group_IT_number 6
_space_group_name_Hall 'P -2y'
_cell_length_a 7.7839
_cell_length_b 5.1255
_cell_length_c 9.2820
_cell_angle_alpha 90.00
_cell_angle_beta 91.33
_cell_angle_gamma 90.00
loop_
_atom_site_label
_atom_site_type_symbol
_atom_site_fract_x
_atom_site_fract_y
_atom_site_fract_z
Li1 Li 0.0000 0.0000 0.0000
As1 As 0.3206 0.5000 0.1891
As2 As 0.4586 0.5000 0.6714
As3 As 0.8133 0.0000 0.2687
As4 As 0.9592 0.0000 0.7091
P1 P 0.3274 0.0000 0.8315
P2 P 0.4420 0.0000 0.3586
P3 P 0.8156 0.5000 0.5537
P4 P 0.9456 0.5000 0.0536
O1 O 0.0288 0.5000 0.9074
O2 O 0.0894 0.5000 0.1842
O3 O 0.1944 0.0000 0.6977
O4 O 0.2434 0.0000 0.9750
O5 O 0.3210 0.2435 0.3295
O6 O 0.4461 0.2445 0.8122
O7 O 0.5125 0.0000 0.5101
O8 O 0.5770 0.0000 0.2337
O9 O 0.6956 0.5000 0.6906
O10 O 0.7233 0.5000 0.4122
O11 O 0.8411 0.2476 0.0789
O12 O 0.9410 0.2572 0.5734
```

Most intense lines, 5° ≤ 2θ ≤ 70°, sorted by position:
hkl  two_theta  I_rel
0 0 2  19.13  45
2 0 0  22.81  100
1 1 1  22.99  31
2 0 -1  24.60  21
2 0 1  25.02  15
0 1 2  25.90  29
1 1 -2  28.18  36
1 1 2  28.55  55
0 2 0  35.01  29
1 1 -3  35.59  18
3 1 -1  39.95  23
3 1 1  40.35  21

=====

Record 3
Diffraction record for Sr2TiSnO6. The powder diffraction line list is simulated, not measured: it uses a GGA-PBE-relaxed structure and Cu Kα.
Kinematic intensities with the Lorentz-polarization factor, no thermal factor.

Cell and atoms:
```
data_Sr2TiSnO6
_space_group_name_H-M_alt 'F m -3 m'
_space_group_IT_number 225
_space_group_name_Hall '-F 4 2 3'
_cell_length_a 8.0585
_cell_length_b 8.0585
_cell_length_c 8.0585
_cell_angle_alpha 90.00
_cell_angle_beta 90.00
_cell_angle_gamma 90.00
loop_
_atom_site_label
_atom_site_type_symbol
_atom_site_fract_x
_atom_site_fract_y
_atom_site_fract_z
Sr1 Sr 0.2500 0.2500 0.2500
Ti1 Ti 0.0000 0.0000 0.0000
Sn1 Sn 0.0000 0.0000 0.5000
O1 O 0.0000 0.0000 0.2441
```

Most intense lines, 5° ≤ 2θ ≤ 70°, sorted by position:
hkl  two_theta  I_rel
1 1 1  19.08  10
2 0 0  22.06  1
2 2 0  31.40  100
3 1 1  37.00  8
2 2 2  38.71  4
4 0 0  45.00  36
3 3 1  49.29  4
4 2 2  55.89  40
3 3 3  59.62  3
4 4 0  65.53  22
5 3 1  68.94  3

=====

Record 4
Diffraction record for Li2ZnGeS4. The powder diffraction line list is simulated, not measured: it uses a GGA-PBE-relaxed structure and Cu Kα.
Kinematic intensities with the Lorentz-polarization factor, no thermal factor.

Cell and atoms:
```
data_Li2ZnGeS4
_space_group_name_H-M_alt 'P m n 21'
_space_group_IT_number 31
_space_group_name_Hall 'P 2ac -2'
_cell_length_a 7.5256
_cell_length_b 6.8690
_cell_length_c 6.3500
_cell_angle_alpha 90.00
_cell_angle_beta 90.00
_cell_angle_gamma 90.00
loop_
_atom_site_label
_atom_site_type_symbol
_atom_site_fract_x
_atom_site_fract_y
_atom_site_fract_z
Li1 Li 0.2500 0.1724 0.0000
Zn1 Zn 0.0000 0.3519 0.4960
Ge1 Ge 0.0000 0.6631 0.9942
S1 S 0.0000 0.3591 0.8689
S2 S 0.0000 0.6644 0.3482
S3 S 0.2425 0.8269 0.8841
```

Most intense lines, 5° ≤ 2θ ≤ 70°, sorted by position:
hkl  two_theta  I_rel
0 1 0  12.89  57
0 1 1  19.03  100
2 0 0  23.64  37
2 1 0  27.02  71
0 0 2  28.10  55
2 1 1  30.53  37
2 2 1  38.20  37
0 3 0  39.37  33
2 3 0  46.42  48
0 2 3  50.66  26
2 1 3  51.28  43
2 3 2  55.15  28